Entry 1:
The following is a simulated powder X-ray diffraction pattern of Li2MnFeB2O6. It was derived from DFT lattice parameters and positions (GGA+U), using Cu Kα (weighted mean of Kα1 and Kα2).

Cell and atoms:
a = 5.2686 Å, b = 5.8848 Å, c = 8.9923 Å
α = 102.63°, β = 90.70°, γ = 114.23°
Fractional coordinates of all 24 atoms:
Li1 0.0000 0.0000 0.0000
Li2 0.1722 0.6359 0.9338
Li3 0.4910 0.9893 0.4900
Li4 0.6633 0.6251 0.4248
Mn1 0.0354 0.0698 0.6632
Mn2 0.6273 0.5550 0.7617
Fe1 0.1174 0.5581 0.2599
Fe2 0.5461 0.0688 0.1636
B1 0.0270 0.0521 0.3238
B2 0.1341 0.5732 0.5941
B3 0.5286 0.0517 0.8305
B4 0.6355 0.5726 0.1000
O1 0.2006 0.4894 0.7176
O2 0.2457 0.9747 0.3141
O3 0.3012 0.6061 0.4766
O4 0.3610 0.0192 0.9479
O5 0.4166 0.6492 0.1080
O6 0.4622 0.1350 0.7067
O7 0.6936 0.4695 0.2160
O8 0.7595 0.9932 0.8298
O9 0.8068 0.6120 0.9845
O10 0.8575 0.0127 0.4399
O11 0.9031 0.6318 0.5952
O12 0.9687 0.1566 0.2086

Principal peaks in the range 5° ≤ 2θ ≤ 70°, by angle:
hkl  d_spacing  2theta  I/Imax
0 0 2  4.358  20.38  88
1 -1 1  4.280  20.76  29
1 0 1  3.998  22.24  40
-1 1 1  3.916  22.71  70
2 -1 0  2.632  34.06  32
1 0 -3  2.619  34.24  34
0 2 0  2.601  34.48  100
1 -1 3  2.588  34.66  27
2 -1 2  2.251  40.06  29
2 0 -2  2.202  40.98  39

Entry 2:
The following is a simulated powder X-ray diffraction pattern of Li2MnFeB2O6. It was derived from DFT lattice parameters and positions (GGA+U), using Cu Kα (weighted mean of Kα1 and Kα2).

Cell and atoms:
a = 5.2564 Å, b = 5.9825 Å, c = 8.1906 Å
α = 102.63°, β = 90.36°, γ = 90.80°
Fractional coordinates of all 24 atoms:
Li1 0.1524 0.4531 0.2786
Li2 0.3427 0.0421 0.2250
Li3 0.6573 0.9579 0.7750
Li4 0.8476 0.5469 0.7214
Mn1 0.1750 0.1820 0.9185
Mn2 0.8250 0.8180 0.0815
Fe1 0.3349 0.3174 0.5775
Fe2 0.6651 0.6826 0.4225
B1 0.1751 0.8330 0.5895
B2 0.3276 0.6677 0.9031
B3 0.6724 0.3323 0.0969
B4 0.8249 0.1670 0.4105
O1 0.0837 0.1797 0.3852
O2 0.1810 0.4859 0.8095
O3 0.2084 0.8405 0.0181
O4 0.2942 0.6607 0.4739
O5 0.3222 0.0122 0.6845
O6 0.4136 0.3213 0.1231
O7 0.5864 0.6787 0.8769
O8 0.6778 0.9878 0.3155
O9 0.7058 0.3393 0.5261
O10 0.7916 0.1595 0.9819
O11 0.8190 0.5141 0.1905
O12 0.9163 0.8203 0.6148

Principal peaks in the range 5° ≤ 2θ ≤ 70°, by angle:
hkl  d_spacing  2theta  I/Imax
1 0 1  4.372  20.31  80
0 1 1  4.288  20.71  23
0 0 2  3.996  22.25  36
1 -1 0  3.937  22.59  60
0 2 -2  2.649  33.84  100
-1 1 2  2.627  34.13  60
1 1 2  2.592  34.61  24
0 1 3  2.245  40.16  26
2 1 1  2.224  40.56  21
2 0 -2  2.205  40.92  34

Entry 3:
The following is a simulated powder X-ray diffraction pattern of Li2MnFeB2O6. It was derived from DFT lattice parameters and positions (GGA+U), using Cu Kα (weighted mean of Kα1 and Kα2).

Cell and atoms:
a = 5.2291 Å, b = 5.2365 Å, c = 20.6130 Å
α = 90.99°, β = 90.81°, γ = 119.73°
Fractional coordinates of all 48 atoms:
Li1 0.0000 0.0000 0.0000
Li2 0.0003 0.9997 0.4983
Li3 0.6551 0.6885 0.6224
Li4 0.6591 0.6885 0.1231
Li5 0.6775 0.6662 0.3719
Li6 0.6783 0.6662 0.8728
Li7 0.9818 0.0045 0.7453
Li8 0.9852 0.0094 0.2446
Mn1 0.0075 0.3445 0.3883
Mn2 0.3243 0.6699 0.7632
Mn3 0.3380 0.0176 0.1384
Mn4 0.3382 0.0201 0.6386
Fe1 0.0123 0.3407 0.8898
Fe2 0.3333 0.6732 0.2624
Fe3 0.6581 0.3451 0.5143
Fe4 0.6621 0.3462 0.0140
B1 0.3281 0.6769 0.5183
B2 0.3286 0.6763 0.0184
B3 0.3330 0.0045 0.3921
B4 0.3328 0.0057 0.8935
B5 0.6640 0.3394 0.2649
B6 0.6662 0.3383 0.7668
B7 0.9917 0.3439 0.6412
B8 0.9962 0.3452 0.1417
O1 0.0568 0.9736 0.3998
O2 0.0585 0.9834 0.9008
O3 0.0811 0.4153 0.9978
O4 0.0810 0.4166 0.4975
O5 0.2623 0.5947 0.6568
O6 0.2658 0.5979 0.1572
O7 0.3063 0.9268 0.5350
O8 0.3070 0.9261 0.0347
O9 0.3519 0.7606 0.8729
O10 0.3644 0.7681 0.3704
O11 0.4013 0.0921 0.2440
O12 0.4036 0.0970 0.7431
O13 0.5829 0.2755 0.4080
O14 0.5880 0.2730 0.9080
O15 0.6016 0.6940 0.0239
O16 0.6021 0.6965 0.5234
O17 0.6812 0.6116 0.2723
O18 0.6896 0.6116 0.7752
O19 0.7537 0.3758 0.6210
O20 0.7558 0.3730 0.1219
O21 0.9065 0.3021 0.7835
O22 0.9120 0.3156 0.2806
O23 0.9627 0.0689 0.6483
O24 0.9709 0.0708 0.1477

Principal peaks in the range 5° ≤ 2θ ≤ 70°, by angle:
hkl  d_spacing  2theta  I/Imax
1 -1 0  4.532  19.59  71
-1 1 2  4.143  21.45  41
1 0 2  4.116  21.59  67
0 1 -4  3.453  25.80  48
0 1 4  3.362  26.51  31
1 1 0  2.626  34.15  27
2 -1 0  2.616  34.28  65
0 0 8  2.575  34.84  100
0 2 -2  2.231  40.44  48
3 0 0  1.514  61.21  23

Entry 4:
The following is a simulated powder X-ray diffraction pattern of Li8Mn7FeB8O24. It was derived from DFT lattice parameters and positions (GGA+U), using Cu Kα (weighted mean of Kα1 and Kα2).

Cell and atoms:
a = 5.2840 Å, b = 6.0178 Å, c = 17.6817 Å
α = 90.01°, β = 98.58°, γ = 113.49°
Fractional coordinates of all 48 atoms:
Li1 0.0000 0.0000 0.0000
Li2 0.0296 0.0664 0.7183
Li3 0.2476 0.7512 0.7512
Li4 0.2832 0.8197 0.4679
Li5 0.4997 0.5005 0.5018
Li6 0.5327 0.5692 0.2171
Li7 0.7496 0.2502 0.2510
Li8 0.7851 0.3206 0.9670
Mn1 0.0372 0.5007 0.5866
Mn2 0.2471 0.3216 0.8805
Mn3 0.2879 0.2507 0.3361
Mn4 0.4946 0.0701 0.6335
Mn5 0.5381 0.0004 0.0858
Mn6 0.7445 0.8187 0.3826
Mn7 0.9950 0.5690 0.1323
Fe1 0.7925 0.7534 0.8386
B1 0.1313 0.1053 0.1669
B2 0.1513 0.7142 0.3014
B3 0.3837 0.8542 0.9159
B4 0.4019 0.4631 0.0506
B5 0.6304 0.6064 0.6684
B6 0.6530 0.2175 0.8016
B7 0.8813 0.3555 0.4174
B8 0.9010 0.9644 0.5518
O1 0.1103 0.4497 0.4750
O2 0.1292 0.9028 0.5527
O3 0.1320 0.9543 0.1065
O4 0.1495 0.9083 0.9148
O5 0.1507 0.8655 0.3617
O6 0.1744 0.3683 0.9926
O7 0.3606 0.1993 0.2245
O8 0.3791 0.6521 0.3020
O9 0.3922 0.7079 0.8555
O10 0.3993 0.6142 0.1108
O11 0.4020 0.6690 0.6664
O12 0.4210 0.1220 0.7446
O13 0.6094 0.9503 0.9743
O14 0.6306 0.4019 0.0520
O15 0.6329 0.4556 0.6080
O16 0.6531 0.3687 0.8621
O17 0.6532 0.4174 0.4166
O18 0.6722 0.8699 0.4940
O19 0.8563 0.6993 0.7267
O20 0.8802 0.1559 0.8016
O21 0.8820 0.2041 0.3571
O22 0.8997 0.1159 0.6119
O23 0.9032 0.1667 0.1664
O24 0.9220 0.6202 0.2438

Principal peaks in the range 5° ≤ 2θ ≤ 70°, by angle:
hkl  d_spacing  2theta  I/Imax
0 0 4  4.361  20.36  79
1 0 -3  4.029  22.06  34
1 -1 2  3.944  22.55  60
0 2 -2  2.677  33.47  100
-2 1 1  2.639  33.97  32
1 0 5  2.623  34.19  27
-1 1 6  2.589  34.65  24
-2 1 5  2.255  39.98  27
2 0 2  2.216  40.72  57
2 2 0  1.527  60.66  29

Entry 5:
The following is a simulated powder X-ray diffraction pattern of Li8Mn7FeB8O24. It was derived from DFT lattice parameters and positions (GGA+U), using Cu Kα (weighted mean of Kα1 and Kα2).

Cell and atoms:
a = 7.9031 Å, b = 8.0186 Å, c = 8.2637 Å
α = 80.94°, β = 79.85°, γ = 82.45°
Fractional coordinates of all 48 atoms:
Li1 0.0000 0.0000 0.0000
Li2 0.0002 0.4989 0.5006
Li3 0.1112 0.7998 0.4445
Li4 0.1135 0.3001 0.9427
Li5 0.4998 0.4959 0.9963
Li6 0.5026 0.0015 0.5036
Li7 0.6109 0.3001 0.4450
Li8 0.6106 0.8005 0.9412
Mn1 0.1292 0.6460 0.1425
Mn2 0.1322 0.1473 0.6436
Mn3 0.4836 0.6535 0.2986
Mn4 0.6271 0.1447 0.1396
Mn5 0.6292 0.6459 0.6407
Mn6 0.9818 0.1544 0.3023
Mn7 0.9833 0.6536 0.8021
Fe1 0.4840 0.1495 0.8027
B1 0.3034 0.3194 0.3167
B2 0.3053 0.8226 0.8198
B3 0.3072 0.9800 0.1250
B4 0.3113 0.4780 0.6265
B5 0.8001 0.3168 0.8138
B6 0.8023 0.8206 0.3171
B7 0.8091 0.4791 0.1250
B8 0.8093 0.9806 0.6286
O1 0.1376 0.3047 0.4085
O2 0.1383 0.8062 0.9075
O3 0.1736 0.1052 0.0994
O4 0.1755 0.6016 0.6002
O5 0.2791 0.8343 0.2389
O6 0.2857 0.3312 0.7392
O7 0.3334 0.4642 0.2024
O8 0.3383 0.9717 0.7117
O9 0.4366 0.1939 0.3451
O10 0.4367 0.6945 0.8445
O11 0.4721 0.9956 0.0314
O12 0.4754 0.4968 0.5328
O13 0.6322 0.2975 0.9013
O14 0.6362 0.8056 0.4078
O15 0.6753 0.1062 0.6029
O16 0.6758 0.6038 0.0948
O17 0.7780 0.3339 0.2382
O18 0.7801 0.8336 0.7397
O19 0.8304 0.4639 0.7036
O20 0.8320 0.9654 0.2031
O21 0.9352 0.1948 0.8452
O22 0.9357 0.6953 0.3460
O23 0.9751 0.9965 0.5367
O24 0.9759 0.4950 0.0356

Principal peaks in the range 5° ≤ 2θ ≤ 70°, by angle:
hkl  d_spacing  2theta  I/Imax
-1 1 1  4.364  20.35  81
0 0 2  4.028  22.07  36
0 2 0  3.937  22.59  63
2 2 2  2.661  33.68  100
0 2 -2  2.640  33.96  32
2 -2 0  2.623  34.19  30
2 0 -2  2.592  34.61  25
1 1 -3  2.257  39.94  28
2 -2 2  2.215  40.73  60
-4 2 2  1.498  61.92  29

Entry 6:
The following is a simulated powder X-ray diffraction pattern of LiFe8B8O24. It was derived from DFT lattice parameters and positions (GGA+U), using Cu Kα (weighted mean of Kα1 and Kα2).

Cell and atoms:
a = 5.2655 Å, b = 9.1352 Å, c = 10.2620 Å
α = 90.82°, β = 90.44°, γ = 91.67°
Fractional coordinates of all 41 atoms:
Li1 0.0000 0.0000 0.0000
Fe1 0.1514 0.5151 0.7763
Fe2 0.1581 0.1870 0.2789
Fe3 0.5022 0.1840 0.0273
Fe4 0.5150 0.8425 0.5254
Fe5 0.6539 0.0286 0.7726
Fe6 0.6571 0.6873 0.2744
Fe7 0.9882 0.6664 0.0260
Fe8 0.9926 0.3413 0.5266
B1 0.0039 0.3468 0.0290
B2 0.1489 0.5144 0.2757
B3 0.1677 0.1895 0.7912
B4 0.4831 0.1775 0.5207
B5 0.4911 0.8490 0.0315
B6 0.6547 0.0160 0.2712
B7 0.6657 0.6840 0.7744
B8 0.9967 0.6760 0.5233
O1 0.0057 0.0787 0.8218
O2 0.0434 0.3861 0.3285
O3 0.0453 0.5450 0.5876
O4 0.0924 0.3101 0.7170
O5 0.1227 0.4712 0.9761
O6 0.1561 0.2365 0.0798
O7 0.1739 0.7841 0.5160
O8 0.2316 0.1856 0.4728
O9 0.2317 0.8296 0.0260
O10 0.3998 0.5445 0.2809
O11 0.4161 0.1920 0.8388
O12 0.4884 0.5750 0.7848
O13 0.4907 0.1216 0.2247
O14 0.5506 0.8877 0.3235
O15 0.5564 0.0475 0.5743
O16 0.6109 0.9790 0.9916
O17 0.6228 0.8117 0.7091
O18 0.6477 0.2936 0.5133
O19 0.6503 0.7409 0.0787
O20 0.7496 0.3325 0.0338
O21 0.7560 0.6881 0.4656
O22 0.9073 0.6682 0.8343
O23 0.9100 0.0372 0.2594
O24 0.9826 0.6099 0.2144

Principal peaks in the range 5° ≤ 2θ ≤ 70°, by angle:
hkl  d_spacing  2theta  I/Imax
0 2 0  4.565  19.44  28
1 1 0  4.503  19.71  100
0 2 -1  4.203  21.14  100
1 1 -1  4.145  21.44  30
-1 1 2  3.433  25.95  95
0 2 2  3.386  26.32  32
2 0 0  2.632  34.07  28
1 3 0  2.602  34.47  28
0 0 4  2.565  34.98  74
-1 3 2  2.359  38.15  28

Entry 7:
The following is a simulated powder X-ray diffraction pattern of Li9Fe4B8O24. It was derived from DFT lattice parameters and positions (GGA+U), using Cu Kα (weighted mean of Kα1 and Kα2).

Cell and atoms:
a = 5.1903 Å, b = 9.0216 Å, c = 10.0938 Å
α = 89.62°, β = 88.12°, γ = 89.59°
Fractional coordinates of all 45 atoms:
Li1 0.0000 0.0000 0.0000
Li2 0.0011 0.3133 0.4950
Li3 0.1507 0.8141 0.2427
Li4 0.1599 0.5045 0.7216
Li5 0.4866 0.4782 0.9532
Li6 0.4913 0.4825 0.4789
Li7 0.5114 0.1517 0.9964
Li8 0.6573 0.6688 0.7370
Li9 0.6621 0.9759 0.2283
Fe1 0.1839 0.1656 0.7544
Fe2 0.4707 0.8163 0.4866
Fe3 0.6799 0.3156 0.2452
Fe4 0.9740 0.6705 0.9889
B1 0.1658 0.8317 0.7496
B2 0.1673 0.1515 0.2329
B3 0.4903 0.1509 0.4898
B4 0.4969 0.8193 0.9991
B5 0.6644 0.3260 0.7510
B6 0.6642 0.6494 0.2481
B7 0.9888 0.3373 0.9912
B8 0.9913 0.6493 0.4969
O1 0.0349 0.0252 0.2112
O2 0.0348 0.7043 0.7915
O3 0.0385 0.2763 0.2813
O4 0.0754 0.9684 0.7874
O5 0.1120 0.4713 0.9683
O6 0.1129 0.7742 0.4447
O7 0.1137 0.2069 0.9542
O8 0.1275 0.5237 0.5228
O9 0.2324 0.8187 0.0268
O10 0.2654 0.1723 0.5637
O11 0.3912 0.8117 0.6759
O12 0.4311 0.1608 0.2060
O13 0.5300 0.4564 0.7499
O14 0.5352 0.7773 0.2897
O15 0.5443 0.1966 0.7943
O16 0.5651 0.5129 0.2798
O17 0.5798 0.0136 0.4535
O18 0.6053 0.6857 0.9528
O19 0.6203 0.2773 0.4458
O20 0.6387 0.9413 0.0207
O21 0.7274 0.6580 0.5251
O22 0.7389 0.3344 0.0464
O23 0.8945 0.6683 0.1789
O24 0.9245 0.3201 0.7160

Principal peaks in the range 5° ≤ 2θ ≤ 70°, by angle:
hkl  d_spacing  2theta  I/Imax
1 0 1  4.676  18.98  100
0 2 0  4.511  19.68  76
0 1 2  4.415  20.11  46
0 1 -2  4.391  20.22  49
-1 1 1  4.064  21.87  25
1 1 2  3.416  26.08  32
1 -1 2  3.393  26.26  29
1 3 0  2.609  34.37  32
1 -3 0  2.594  34.58  55
0 0 4  2.522  35.60  68

Entry 8:
The following is a simulated powder X-ray diffraction pattern of LiFe2B2O6. It was derived from DFT lattice parameters and positions (GGA+U), using Cu Kα (weighted mean of Kα1 and Kα2).

Cell and atoms:
a = 5.2172 Å, b = 5.2218 Å, c = 10.2147 Å
α = 90.69°, β = 90.35°, γ = 119.05°
Fractional coordinates of all 22 atoms:
Li1 0.0000 0.0000 0.0000
Li2 0.3173 0.3182 0.6928
Fe1 0.3292 0.6610 0.9718
Fe2 0.6509 0.3416 0.4717
Fe3 0.6700 0.9824 0.7177
Fe4 0.9865 0.6515 0.2389
B1 0.3190 0.6656 0.4822
B2 0.6513 0.9906 0.2114
B3 0.6585 0.3220 0.9765
B4 0.9973 0.6578 0.7390
O1 0.0173 0.9285 0.7471
O2 0.0710 0.6619 0.4224
O3 0.2491 0.6338 0.7782
O4 0.3174 0.4080 0.5045
O5 0.3744 0.7615 0.1700
O6 0.4014 0.3340 0.9752
O7 0.5486 0.9310 0.5215
O8 0.6612 0.0610 0.9482
O9 0.6715 0.2515 0.2533
O10 0.7468 0.4095 0.6977
O11 0.8901 0.9499 0.1987
O12 0.9240 0.5723 0.0080

Principal peaks in the range 5° ≤ 2θ ≤ 70°, by angle:
hkl  d_spacing  2theta  I/Imax
0 1 0  4.563  19.45  41
1 -1 0  4.498  19.74  71
0 1 1  4.142  21.45  88
1 -1 1  4.118  21.58  64
1 0 -2  3.427  26.00  69
0 1 2  3.376  26.40  60
1 1 0  2.647  33.87  32
1 -2 0  2.609  34.37  68
0 0 4  2.553  35.15  100
2 0 -1  2.234  40.38  47